No. 1
For LiTiZnH, a cell relaxed with PBE gives the theoretical X-ray diffraction stick pattern in this record (Cu Kα).

Cell and atoms:
```
12
Lattice="2.9214 0.0000 0.0000 -1.4607 2.5300 0.0000 0.0000 0.0000 21.4722" Properties=species:S:1:pos:R:3 pbc="T T T"
Li 0.0000 0.0000 0.0000
Li 0.0000 1.6867 14.3148
Li 1.4607 0.8433 7.1574
Ti 0.0000 0.0000 4.6575
Ti 0.0000 1.6867 18.9723
Ti 1.4607 0.8433 11.8149
Zn 0.0000 0.0000 9.3884
Zn 0.0000 1.6867 2.2310
Zn 1.4607 0.8433 16.5458
H 0.0000 0.0000 18.2484
H 0.0000 1.6867 11.0910
H 1.4607 0.8433 3.9336
```

Top 8 peaks for 15 to 90 degrees two-theta, sorted by position:
2θ 24.9, rel. 33, (0 0 6)
2θ 35.7, rel. 83, (1 0 1)
2θ 37.7, rel. 46, (0 0 9)
2θ 39.4, rel. 100, (1 0 4)
2θ 41.4, rel. 95, (0 1 5)
2θ 49.5, rel. 29, (0 1 8)
2θ 63.7, rel. 27, (1 1 0)
2θ 76.5, rel. 30, (1 1 9)

No. 2
For LiAg5, a cell relaxed with PBE gives the theoretical X-ray diffraction stick pattern in this record (Cu Kα).

Cell and atoms:
```
12
Lattice="5.0541 0.0000 0.0000 0.0000 8.7240 0.0000 -1.7540 0.0000 4.7358" Properties=species:S:1:pos:R:3 pbc="T T T"
Li 0.0000 0.0000 0.0000
Li 2.5271 4.3620 0.0000
Ag -0.8770 1.4381 2.3679
Ag 0.0000 2.9101 0.0000
Ag -0.8770 4.3569 2.3679
Ag 0.0000 5.8060 0.0000
Ag -0.8770 7.2753 2.3679
Ag 2.5271 1.4440 0.0000
Ag 1.6501 2.9133 2.3679
Ag 1.6501 5.8001 2.3679
Ag 2.5271 7.2721 0.0000
Ag 1.6501 8.7189 2.3679
```

Top 8 peaks for 15 to 90 degrees two-theta, sorted by position:
2θ 37.8, rel. 100, (1 3 -1)
2θ 38.0, rel. 99, (2 0 0)
2θ 43.7, rel. 33, (2 0 -2)
2θ 44.2, rel. 63, (1 3 1)
2θ 63.9, rel. 40, (3 3 -1)
2θ 76.3, rel. 18, (4 0 -2)
2θ 76.9, rel. 23, (2 6 0)
2θ 77.3, rel. 23, (3 3 1)